No. 1
TlPdAu: simulated X-ray diffraction stick pattern (Cu Kα (weighted mean of Kα1 and Kα2)), based on a cell relaxed with GGA-PBE.
Peak positions follow from Bragg's law for the DFT cell and can differ from measured ones.

Structural model:
Lattice parameters (Å, degrees): 5.878 6.386 7.217 90.00 90.00 90.00
Positions (direct):
Tl  0.250  0.250  0.000
Tl  0.250  0.250  0.500
Tl  0.750  0.750  0.000
Tl  0.750  0.750  0.500
Pd  0.000  0.000  0.250
Pd  0.000  0.500  0.750
Pd  0.500  0.000  0.250
Pd  0.500  0.500  0.750
Au  0.250  0.750  0.000
Au  0.250  0.750  0.500
Au  0.750  0.250  0.000
Au  0.750  0.250  0.500

Peak list (12 most intense, 5 to 70 degrees two-theta, by intensity)
2theta  d_spacing  Rel. int.
37.61  2.391  100
39.54  2.279  87
41.77  2.162  75
24.67  3.609  47
67.62  1.385  36
27.94  3.193  35
49.12  1.855  31
30.41  2.939  28
18.55  4.783  28
50.59  1.804  22
57.76  1.596  16
63.28  1.470  11

No. 2
Tl8Pd3Au2: simulated X-ray diffraction stick pattern (Cu Kα (weighted mean of Kα1 and Kα2)), based on a cell relaxed with GGA-PBE.
Peak positions follow from Bragg's law for the DFT cell and can differ from measured ones.

Structural model:
Lattice parameters (Å, degrees): 8.369 4.849 8.480 90.00 109.77 90.00
Positions (direct):
Tl  0.120  0.000  0.383
Tl  0.123  0.500  0.867
Tl  0.365  0.500  0.623
Tl  0.377  0.000  0.126
Tl  0.623  0.000  0.874
Tl  0.635  0.500  0.377
Tl  0.877  0.500  0.133
Tl  0.880  0.000  0.617
Pd  0.253  0.000  0.756
Pd  0.500  0.500  0.000
Pd  0.747  0.000  0.244
Au  0.252  0.500  0.251
Au  0.748  0.500  0.749

Peak list (12 most intense, 5 to 70 degrees two-theta, by intensity)
2theta  d_spacing  Rel. int.
36.80  2.442  100
37.09  2.424  99
37.19  2.418  97
66.63  1.404  36
53.47  1.714  35
26.00  3.427  35
67.16  1.394  26
66.44  1.407  18
66.91  1.398  18
25.86  3.445  17
53.17  1.723  17
22.42  3.965  17

No. 3
Tl2PdAu: simulated X-ray diffraction stick pattern (Cu Kα (weighted mean of Kα1 and Kα2)), based on a cell relaxed with GGA-PBE.
Peak positions follow from Bragg's law for the DFT cell and can differ from measured ones.

Structural model:
Lattice parameters (Å, degrees): 9.756 3.688 6.495 90.00 127.90 90.00
Positions (direct):
Tl  0.000  0.000  0.000
Tl  0.131  0.000  0.642
Tl  0.500  0.500  0.000
Tl  0.631  0.500  0.642
Pd  0.250  0.500  0.432
Pd  0.750  0.000  0.432
Au  0.369  0.000  0.225
Au  0.869  0.500  0.225

Peak list (12 most intense, 5 to 70 degrees two-theta, by intensity)
2theta  d_spacing  Rel. int.
38.23  2.354  100
37.07  2.425  86
36.82  2.441  60
26.80  3.326  42
27.83  3.206  41
37.42  2.403  40
63.18  1.472  28
49.42  1.844  28
42.94  2.106  28
27.52  3.241  23
64.70  1.441  22
68.02  1.378  21

No. 4
Tl5PdAu2: simulated X-ray diffraction stick pattern (Cu Kα (weighted mean of Kα1 and Kα2)), based on a cell relaxed with GGA-PBE.
Peak positions follow from Bragg's law for the DFT cell and can differ from measured ones.

Structural model:
Lattice parameters (Å, degrees): 5.666 5.666 20.429 90.00 90.00 142.69
Positions (direct):
Tl  0.024  0.976  0.750
Tl  0.135  0.865  0.540
Tl  0.135  0.865  0.960
Tl  0.407  0.593  0.617
Tl  0.407  0.593  0.883
Tl  0.593  0.407  0.117
Tl  0.593  0.407  0.383
Tl  0.865  0.135  0.040
Tl  0.865  0.135  0.460
Tl  0.976  0.024  0.250
Pd  0.307  0.693  0.750
Pd  0.693  0.307  0.250
Au  0.313  0.687  0.161
Au  0.313  0.687  0.339
Au  0.687  0.313  0.661
Au  0.687  0.313  0.839

Peak list (12 most intense, 5 to 70 degrees two-theta, by intensity)
2theta  d_spacing  Rel. int.
31.39  2.850  100
36.35  2.471  68
34.10  2.629  65
34.99  2.564  64
35.52  2.527  32
50.34  1.812  30
62.79  1.480  26
37.71  2.385  24
34.55  2.596  22
35.96  2.497  21
40.20  2.243  21
31.10  2.875  18

No. 5
Tl3Pd6Au: simulated X-ray diffraction stick pattern (Cu Kα (weighted mean of Kα1 and Kα2)), based on a cell relaxed with GGA-PBE.
Peak positions follow from Bragg's law for the DFT cell and can differ from measured ones.

Structural model:
Lattice parameters (Å, degrees): 8.828 8.828 4.941 90.00 90.00 98.69
Positions (direct):
Tl  0.130  0.870  0.500
Tl  0.194  0.384  0.154
Tl  0.384  0.194  0.654
Tl  0.616  0.806  0.154
Tl  0.806  0.616  0.654
Tl  0.870  0.130  0.000
Pd  0.066  0.181  0.547
Pd  0.085  0.496  0.675
Pd  0.181  0.066  0.047
Pd  0.241  0.759  0.960
Pd  0.449  0.551  0.914
Pd  0.496  0.085  0.175
Pd  0.504  0.915  0.675
Pd  0.551  0.449  0.414
Pd  0.759  0.241  0.460
Pd  0.819  0.934  0.547
Pd  0.915  0.504  0.175
Pd  0.934  0.819  0.047
Au  0.345  0.655  0.438
Au  0.655  0.345  0.938

Peak list (12 most intense, 5 to 70 degrees two-theta, by intensity)
2theta  d_spacing  Rel. int.
39.72  2.269  100
35.82  2.507  69
39.04  2.307  69
35.96  2.497  38
31.10  2.876  36
45.44  1.996  31
44.54  2.034  19
38.64  2.330  19
45.18  2.007  18
63.17  1.472  16
44.13  2.052  15
30.25  2.955  15

No. 6
Tl2Pd5Au2: simulated X-ray diffraction stick pattern (Cu Kα (weighted mean of Kα1 and Kα2)), based on a cell relaxed with GGA-PBE.
Peak positions follow from Bragg's law for the DFT cell and can differ from measured ones.

Structural model:
Lattice parameters (Å, degrees): 4.889 5.642 6.720 75.02 74.33 75.75
Positions (direct):
Tl  0.138  0.356  0.305
Tl  0.862  0.644  0.695
Pd  0.095  0.882  0.295
Pd  0.281  0.693  0.905
Pd  0.500  0.500  0.500
Pd  0.719  0.307  0.095
Pd  0.905  0.118  0.705
Au  0.316  0.189  0.886
Au  0.684  0.811  0.114

Peak list (12 most intense, 5 to 70 degrees two-theta, by intensity)
2theta  d_spacing  Rel. int.
37.83  2.378  100
38.40  2.344  46
39.16  2.301  43
43.01  2.103  35
43.68  2.072  28
46.82  1.940  28
33.53  2.673  14
61.63  1.505  11
64.94  1.436  10
65.43  1.426  10
13.99  6.332  10
65.95  1.417  9

No. 7
TlPd3Au3: simulated X-ray diffraction stick pattern (Cu Kα (weighted mean of Kα1 and Kα2)), based on a cell relaxed with GGA-PBE.
Peak positions follow from Bragg's law for the DFT cell and can differ from measured ones.

Structural model:
Lattice parameters (Å, degrees): 6.531 6.531 6.127 90.00 90.00 90.29
Positions (direct):
Tl  0.230  0.230  0.000
Tl  0.770  0.770  0.000
Pd  0.000  0.500  0.251
Pd  0.000  0.500  0.749
Pd  0.500  0.000  0.251
Pd  0.500  0.000  0.749
Pd  0.500  0.500  0.261
Pd  0.500  0.500  0.739
Au  0.225  0.225  0.500
Au  0.229  0.771  0.500
Au  0.241  0.759  0.000
Au  0.759  0.241  0.000
Au  0.771  0.229  0.500
Au  0.775  0.775  0.500

Peak list (12 most intense, 5 to 70 degrees two-theta, by intensity)
2theta  d_spacing  Rel. int.
40.37  2.234  100
38.91  2.315  27
39.11  2.303  25
27.31  3.265  23
56.35  1.633  17
29.15  3.064  11
60.43  1.532  8
32.28  2.774  6
41.48  2.177  6
30.67  2.915  5
49.34  1.847  5
59.38  1.556  4

No. 8
TlPd14Au: simulated X-ray diffraction stick pattern (Cu Kα (weighted mean of Kα1 and Kα2)), based on a cell relaxed with GGA-PBE.
Peak positions follow from Bragg's law for the DFT cell and can differ from measured ones.

Structural model:
Lattice parameters (Å, degrees): 9.276 5.626 5.626 60.65 90.00 90.00
Positions (direct):
Tl  0.000  0.000  0.000
Pd  0.000  0.500  0.999
Pd  0.000  0.999  0.500
Pd  0.252  0.331  0.331
Pd  0.254  0.831  0.831
Pd  0.255  0.333  0.831
Pd  0.255  0.831  0.333
Pd  0.500  0.163  0.163
Pd  0.500  0.163  0.662
Pd  0.500  0.662  0.163
Pd  0.500  0.663  0.663
Pd  0.745  0.333  0.831
Pd  0.745  0.831  0.333
Pd  0.746  0.831  0.831
Pd  0.748  0.331  0.331
Au  0.000  0.500  0.500

Peak list (12 most intense, 5 to 70 degrees two-theta, by intensity)
2theta  d_spacing  Rel. int.
41.67  2.168  100
38.84  2.319  56
37.96  2.370  53
42.00  2.151  45
47.32  1.921  28
38.32  2.349  28
66.48  1.406  22
47.62  1.910  15
62.81  1.479  12
65.75  1.420  12
9.54  9.276  9
63.07  1.474  7

No. 9
TlPd5Au2: simulated X-ray diffraction stick pattern (Cu Kα (weighted mean of Kα1 and Kα2)), based on a cell relaxed with GGA-PBE.
Peak positions follow from Bragg's law for the DFT cell and can differ from measured ones.

Structural model:
Lattice parameters (Å, degrees): 6.274 6.274 10.600 90.00 90.00 136.35
Positions (direct):
Tl  0.242  0.758  0.750
Tl  0.758  0.242  0.250
Pd  0.036  0.964  0.619
Pd  0.036  0.964  0.881
Pd  0.405  0.595  0.250
Pd  0.413  0.587  0.577
Pd  0.413  0.587  0.923
Pd  0.587  0.413  0.077
Pd  0.587  0.413  0.423
Pd  0.595  0.405  0.750
Pd  0.964  0.036  0.119
Pd  0.964  0.036  0.381
Au  0.213  0.787  0.071
Au  0.213  0.787  0.429
Au  0.787  0.213  0.571
Au  0.787  0.213  0.929

Peak list (12 most intense, 5 to 70 degrees two-theta, by intensity)
2theta  d_spacing  Rel. int.
39.53  2.280  100
38.60  2.332  41
43.42  2.084  30
32.71  2.738  26
29.57  3.021  22
69.82  1.347  20
15.21  5.824  13
51.74  1.767  12
66.38  1.408  11
49.36  1.846  10
46.81  1.941  8
30.70  2.912  8

No. 10
TlPd8Au5: simulated X-ray diffraction stick pattern (Cu Kα (weighted mean of Kα1 and Kα2)), based on a cell relaxed with GGA-PBE.
Peak positions follow from Bragg's law for the DFT cell and can differ from measured ones.

Structural model:
Lattice parameters (Å, degrees): 6.944 6.944 6.944 113.85 113.85 101.02
Positions (direct):
Tl  0.000  0.000  0.000
Pd  0.078  0.650  0.750
Pd  0.305  0.547  0.095
Pd  0.350  0.099  0.427
Pd  0.453  0.210  0.905
Pd  0.453  0.547  0.757
Pd  0.672  0.922  0.573
Pd  0.790  0.695  0.243
Pd  0.901  0.328  0.250
Au  0.034  0.175  0.577
Au  0.250  0.750  0.500
Au  0.543  0.966  0.142
Au  0.599  0.457  0.423
Au  0.825  0.401  0.858

Peak list (12 most intense, 5 to 70 degrees two-theta, by intensity)
2theta  d_spacing  Rel. int.
40.59  2.223  100
37.01  2.429  89
44.32  2.044  75
37.53  2.397  50
32.63  2.744  42
28.20  3.164  42
42.93  2.107  33
26.15  3.408  25
66.36  1.409  21
69.98  1.344  19
39.33  2.291  17
53.57  1.711  13

No. 11
Tm4PdAu2: simulated X-ray diffraction stick pattern (Cu Kα (weighted mean of Kα1 and Kα2)), based on a cell relaxed with GGA-PBE.
Peak positions follow from Bragg's law for the DFT cell and can differ from measured ones.

Structural model:
Lattice parameters (Å, degrees): 8.590 8.590 8.590 33.39 33.39 33.39
Positions (direct):
Tm  0.124  0.124  0.124
Tm  0.374  0.374  0.374
Tm  0.626  0.626  0.626
Tm  0.876  0.876  0.876
Pd  0.000  0.000  0.000
Au  0.245  0.245  0.245
Au  0.755  0.755  0.755

Peak list (12 most intense, 5 to 70 degrees two-theta, by intensity)
2theta  d_spacing  Rel. int.
36.41  2.468  100
36.27  2.477  99
65.46  1.426  54
52.34  1.748  35
22.05  4.032  20
65.16  1.432  17
42.93  2.107  11
21.94  4.052  7
25.48  3.496  5
21.11  4.210  5
27.79  3.210  4
50.07  1.822  4

No. 12
Tm2Pd6Au: simulated X-ray diffraction stick pattern (Cu Kα (weighted mean of Kα1 and Kα2)), based on a cell relaxed with GGA-PBE.
Peak positions follow from Bragg's law for the DFT cell and can differ from measured ones.

Structural model:
Lattice parameters (Å, degrees): 5.661 4.161 7.246 90.00 99.62 90.00
Positions (direct):
Tm  0.000  0.000  0.000
Tm  0.366  0.000  0.498
Pd  0.180  0.500  0.746
Pd  0.361  0.500  0.136
Pd  0.462  0.000  0.892
Pd  0.671  0.000  0.245
Pd  0.682  0.500  0.750
Pd  0.895  0.000  0.600
Au  0.992  0.500  0.347

Peak list (12 most intense, 5 to 70 degrees two-theta, by intensity)
2theta  d_spacing  Rel. int.
39.16  2.300  100
43.49  2.081  54
38.73  2.325  50
33.05  2.710  48
30.69  2.913  40
43.79  2.067  33
38.54  2.336  33
44.42  2.039  25
59.50  1.554  18
63.91  1.457  15
45.77  1.983  11
38.86  2.318  9

Copy entry 5 word for word.
Tl3Pd6Au: simulated X-ray diffraction stick pattern (Cu Kα (weighted mean of Kα1 and Kα2)), based on a cell relaxed with GGA-PBE.
Peak positions follow from Bragg's law for the DFT cell and can differ from measured ones.

Structural model:
Lattice parameters (Å, degrees): 8.828 8.828 4.941 90.00 90.00 98.69
Positions (direct):
Tl  0.130  0.870  0.500
Tl  0.194  0.384  0.154
Tl  0.384  0.194  0.654
Tl  0.616  0.806  0.154
Tl  0.806  0.616  0.654
Tl  0.870  0.130  0.000
Pd  0.066  0.181  0.547
Pd  0.085  0.496  0.675
Pd  0.181  0.066  0.047
Pd  0.241  0.759  0.960
Pd  0.449  0.551  0.914
Pd  0.496  0.085  0.175
Pd  0.504  0.915  0.675
Pd  0.551  0.449  0.414
Pd  0.759  0.241  0.460
Pd  0.819  0.934  0.547
Pd  0.915  0.504  0.175
Pd  0.934  0.819  0.047
Au  0.345  0.655  0.438
Au  0.655  0.345  0.938

Peak list (12 most intense, 5 to 70 degrees two-theta, by intensity)
2theta  d_spacing  Rel. int.
39.72  2.269  100
35.82  2.507  69
39.04  2.307  69
35.96  2.497  38
31.10  2.876  36
45.44  1.996  31
44.54  2.034  19
38.64  2.330  19
45.18  2.007  18
63.17  1.472  16
44.13  2.052  15
30.25  2.955  15